Diffraction record for ScAg2IrSe. The powder diffractogram is computed, not measured: it uses a cell relaxed with GGA-PBE and copper Kα.
Intensities are scaled so that the largest is 100.

Crystal structure
```
data_ScAg2IrSe
_space_group_name_H-M_alt 'P 4/m m m'
_space_group_IT_number 123
_space_group_name_Hall '-P 4 2'
_cell_length_a 5.1536
_cell_length_b 5.1536
_cell_length_c 4.6322
_cell_angle_alpha 90.00
_cell_angle_beta 90.00
_cell_angle_gamma 90.00
loop_
_atom_site_label
_atom_site_type_symbol
_atom_site_fract_x
_atom_site_fract_y
_atom_site_fract_z
_atom_site_occupancy
Sc1 Sc 0.0000 0.0000 0.0000 1
Ag1 Ag 0.0000 0.5000 0.0000 1
Ir1 Ir 0.0000 0.0000 0.5000 1
Se1 Se 0.5000 0.5000 0.5000 1
```

Largest 8 diffraction maxima, in order of rising 2θ, 2θ = 5–70°:
5.154 Å, rel. 25; 2.864 Å, rel. 100; 2.577 Å, rel. 54; 2.316 Å, rel. 20; 1.822 Å, rel. 19; 1.723 Å, rel. 31; 1.537 Å, rel. 30; 1.432 Å, rel. 17